# AlCu2Re
Calculated PXRD pattern, Cu Kα (λ = 1.5418 Å). Input: the GGA-PBE geometry in Alexandria.
No peak broadening, texture or thermal motion is included.

Top 10 peaks for 10 to 90 degrees two-theta, by intensity:
2θ 41.49, intensity 100.0
2θ 11.89, intensity 57.0
2θ 47.95, intensity 32.8
2θ 84.92, intensity 24.2
2θ 23.91, intensity 21.2
2θ 35.57, intensity 19.9
2θ 70.94, intensity 19.3
2θ 33.40, intensity 18.3
2θ 48.94, intensity 15.2
2θ 86.40, intensity 11.2

Atomic structure:
```
data_AlCu2Re
_cell_length_a 2.6830
_cell_length_b 2.6830
_cell_length_c 7.4446
_cell_angle_alpha 90.00
_cell_angle_beta 90.00
_cell_angle_gamma 90.00
_space_group_name_H-M_alt 'P 4 m m'
_space_group_IT_number 99
loop_
_space_group_symop_operation_xyz
'x,y,z'
'-y,x,z'
'-x,-y,z'
'y,-x,z'
'-x,y,z'
'y,x,z'
'x,-y,z'
'-y,-x,z'
loop_
_atom_site_label
_atom_site_fract_x
_atom_site_fract_y
_atom_site_fract_z
_atom_site_occupancy
Al1 0.0000 0.0000 0.0000 1
Cu1 0.0000 0.0000 0.4794 1
Cu2 0.5000 0.5000 0.2414 1
Re1 0.5000 0.5000 0.7347 1
```